The following is a theoretical XRD peak list of CrCo6Ni2. It was derived from a structure optimized by DFT (GGA-PBE), using Cu Kα.
Kinematic intensities with the Lorentz-polarization factor, no thermal factor.

Atomic structure:
```
data_CrCo6Ni2
_chemical_formula_sum 'Cr2 Co12 Ni4'
_symmetry_space_group_name_H-M 'P n n m'
_symmetry_Int_Tables_number 58
_symmetry_space_group_name_Hall '-P 2 2n'
_cell_length_a 2.4342
_cell_length_b 6.6638
_cell_length_c 12.7241
_cell_angle_alpha 90.00
_cell_angle_beta 90.00
_cell_angle_gamma 90.00
loop_
_atom_site_label
_atom_site_type_symbol
_atom_site_fract_x
_atom_site_fract_y
_atom_site_fract_z
Cr1 Cr 0.0000 0.0000 0.0000
Co1 Co 0.2272 0.1625 0.5000
Co2 Co 0.2445 0.3403 0.1659
Ni1 Ni 0.0000 0.0000 0.1749
```

The 8 most intense peaks (2θ from 15° to 90°), sorted by position:
d = 2.286 Å, 39.4 deg, I 27, hkl 1 1 0
d = 2.188 Å, 41.3 deg, I 86, hkl 0 3 1
d = 2.121 Å, 42.6 deg, I 91, hkl 0 0 6
d = 2.013 Å, 45.0 deg, I 100, hkl 1 1 3
d = 1.967 Å, 46.1 deg, I 25, hkl 0 3 3
d = 1.878 Å, 48.5 deg, I 39, hkl 1 2 2
d = 1.673 Å, 54.9 deg, I 68, hkl 0 3 5
d = 1.555 Å, 59.4 deg, I 23, hkl 1 1 6